No. 1
This entry pairs a crystal structure of Cs2MnSiS4 with its calculated XRD peak list. Radiation: Cu Kα X-rays. Structure: the GGA-PBE geometry in Alexandria.
Intensities are scaled so that the largest is 100.

```
data_Cs2MnSiS4
_chemical_formula_sum 'Cs16 Mn8 Si8 S32'
_cell_length_a 5.8731
_cell_length_b 14.0432
_cell_length_c 25.0891
_cell_angle_alpha 90.00
_cell_angle_beta 90.00
_cell_angle_gamma 90.00
_symmetry_space_group_name_H-M 'F d d d'
_symmetry_Int_Tables_number 70
loop_
_symmetry_equiv_pos_as_xyz
'x,y,z'
'-x,-y,-z'
'-x+1/4,-y+1/4,z'
'x+1/4,y+1/4,-z'
'x,-y+1/4,-z+1/4'
'-x,y+1/4,z+1/4'
'-x+1/4,y,-z+1/4'
'x+1/4,-y,z+1/4'
'x,y+1/2,z+1/2'
'-x,-y+1/2,-z+1/2'
'-x+1/4,-y+3/4,z+1/2'
'x+1/4,y+3/4,-z+1/2'
'x,-y+3/4,-z+3/4'
'-x,y+3/4,z+3/4'
'-x+1/4,y+1/2,-z+3/4'
'x+1/4,-y+1/2,z+3/4'
'x+1/2,y,z+1/2'
'-x+1/2,-y,-z+1/2'
'-x+3/4,-y+1/4,z+1/2'
'x+3/4,y+1/4,-z+1/2'
'x+1/2,-y+1/4,-z+3/4'
'-x+1/2,y+1/4,z+3/4'
'-x+3/4,y,-z+3/4'
'x+3/4,-y,z+3/4'
'x+1/2,y+1/2,z'
'-x+1/2,-y+1/2,-z'
'-x+3/4,-y+3/4,z'
'x+3/4,y+3/4,-z'
'x+1/2,-y+3/4,-z+1/4'
'-x+1/2,y+3/4,z+1/4'
'-x+3/4,y+1/2,-z+1/4'
'x+3/4,-y+1/2,z+1/4'
loop_
_atom_site_label
_atom_site_type_symbol
_atom_site_fract_x
_atom_site_fract_y
_atom_site_fract_z
_atom_site_occupancy
Cs1 Cs 0.1250 0.1250 0.3017 1
Mn1 Mn 0.1250 0.1250 0.1250 1
Si1 Si 0.1250 0.1250 0.6250 1
S1 S 0.0929 0.2868 0.8268 1
```

Top 6 peaks for 5 to 70 degrees two-theta, by angle:
2θ = 19.5°, rel. 62, hkl 1 1 3; 2θ = 24.8°, rel. 100, hkl 0 2 6; 2θ = 26.6°, rel. 94, hkl 1 3 3; 2θ = 30.2°, rel. 76, hkl 1 3 5; 2θ = 33.1°, rel. 41, hkl 2 2 0; 2θ = 37.4°, rel. 43, hkl 2 0 6



No. 2
This entry pairs a crystal structure of CsTmMn2S4 with its calculated XRD peak list. Radiation: Cu Kα X-rays. Structure: the GGA-PBE geometry in Alexandria.
Intensities are scaled so that the largest is 100.

```
data_CsTmMn2S4
_chemical_formula_sum 'Cs2 Tm2 Mn4 S8'
_cell_length_a 6.5611
_cell_length_b 8.4135
_cell_length_c 9.1850
_cell_angle_alpha 90.00
_cell_angle_beta 90.00
_cell_angle_gamma 90.00
_symmetry_space_group_name_H-M 'I 2 2 2'
_symmetry_Int_Tables_number 23
_symmetry_space_group_name_Hall 'I 2 2'
loop_
_atom_site_label
_atom_site_type_symbol
_atom_site_fract_x
_atom_site_fract_y
_atom_site_fract_z
_atom_site_occupancy
Cs1 Cs 0.0000 0.0000 0.0000 1
Tm1 Tm 0.0000 0.0000 0.5000 1
Mn1 Mn 0.0000 0.5000 0.1055 1
S1 S 0.2474 0.1537 0.3302 1
```

Top 6 peaks for 5 to 70 degrees two-theta, by angle:
2θ = 14.3°, rel. 71, hkl 0 1 1; 2θ = 21.1°, rel. 66, hkl 0 2 0; 2θ = 25.9°, rel. 100, hkl 1 1 2; 2θ = 34.7°, rel. 60, hkl 2 2 0; 2θ = 40.0°, rel. 63, hkl 2 2 2; 2θ = 43.1°, rel. 59, hkl 1 1 4



No. 3
This entry pairs a crystal structure of Cs2UMn2S6 with its calculated XRD peak list. Radiation: Cu Kα X-rays. Structure: the GGA-PBE geometry in Alexandria.
Intensities are scaled so that the largest is 100.

```
data_Cs2UMn2S6
_chemical_formula_sum 'Cs6 U3 Mn6 S18'
_cell_length_a 7.2470
_cell_length_b 7.2470
_cell_length_c 19.0951
_cell_angle_alpha 90.00
_cell_angle_beta 90.00
_cell_angle_gamma 120.00
_symmetry_space_group_name_H-M 'R -3 m'
_symmetry_Int_Tables_number 166
_symmetry_space_group_name_Hall '-R 3 2"'
loop_
_atom_site_label
_atom_site_type_symbol
_atom_site_fract_x
_atom_site_fract_y
_atom_site_fract_z
_atom_site_occupancy
Cs1 Cs 0.0000 0.0000 0.2391 1
U1 U 0.0000 0.0000 0.0000 1
Mn1 Mn 0.0000 0.0000 0.4470 1
S1 S 0.0031 0.5016 0.2538 1
```

Top 6 peaks for 5 to 70 degrees two-theta, by angle:
2θ = 23.4°, rel. 75, hkl 1 0 4; 2θ = 24.6°, rel. 100, hkl 1 1 0; 2θ = 27.3°, rel. 30, hkl 0 1 5; 2θ = 34.2°, rel. 75, hkl 0 2 4; 2θ = 42.6°, rel. 38, hkl 0 0 9; 2θ = 50.4°, rel. 31, hkl 2 2 0



No. 4
This entry pairs a crystal structure of Cs4MnSe4 with its calculated XRD peak list. Radiation: Cu Kα X-rays. Structure: the GGA-PBE geometry in Alexandria.
Intensities are scaled so that the largest is 100.

```
data_Cs4MnSe4
_chemical_formula_sum 'Cs8 Mn2 Se8'
_cell_length_a 10.0771
_cell_length_b 10.0771
_cell_length_c 7.4504
_cell_angle_alpha 90.00
_cell_angle_beta 90.00
_cell_angle_gamma 90.00
_symmetry_space_group_name_H-M 'P 42/n m c'
_symmetry_Int_Tables_number 137
loop_
_symmetry_equiv_pos_as_xyz
'x,y,z'
'-x,-y,-z'
'-y+1/2,x,z+1/2'
'y+1/2,-x,-z+1/2'
'-x+1/2,-y+1/2,z'
'x+1/2,y+1/2,-z'
'y,-x+1/2,z+1/2'
'-y,x+1/2,-z+1/2'
'x+1/2,-y,-z'
'-x+1/2,y,z'
'-y,-x,-z+1/2'
'y,x,z+1/2'
'-x,y+1/2,-z'
'x,-y+1/2,z'
'y+1/2,x+1/2,-z+1/2'
'-y+1/2,-x+1/2,z+1/2'
loop_
_atom_site_label
_atom_site_type_symbol
_atom_site_fract_x
_atom_site_fract_y
_atom_site_fract_z
_atom_site_occupancy
Cs1 Cs 0.0254 0.2500 0.0915 1
Mn1 Mn 0.2500 0.7500 0.2500 1
Se1 Se 0.0504 0.7500 0.4141 1
```

Top 6 peaks for 5 to 70 degrees two-theta, by angle:
2θ = 23.1°, rel. 30, hkl 2 1 1; 2θ = 25.0°, rel. 100, hkl 2 2 0; 2θ = 25.5°, rel. 55, hkl 1 0 2; 2θ = 30.5°, rel. 42, hkl 3 1 1; 2θ = 31.1°, rel. 56, hkl 2 1 2; 2θ = 35.6°, rel. 44, hkl 4 0 0



No. 5
This entry pairs a crystal structure of Cs2Mn2Se3 with its calculated XRD peak list. Radiation: Cu Kα X-rays. Structure: the GGA-PBE geometry in Alexandria.
Intensities are scaled so that the largest is 100.

```
data_Cs2Mn2Se3
_chemical_formula_sum 'Cs16 Mn16 Se24'
_cell_length_a 17.7192
_cell_length_b 15.4476
_cell_length_c 7.4161
_cell_angle_alpha 90.00
_cell_angle_beta 113.13
_cell_angle_gamma 90.00
_symmetry_space_group_name_H-M 'C 1 2/c 1'
_symmetry_Int_Tables_number 15
_symmetry_space_group_name_Hall '-C 2yc'
loop_
_atom_site_label
_atom_site_type_symbol
_atom_site_fract_x
_atom_site_fract_y
_atom_site_fract_z
_atom_site_occupancy
Cs1 Cs 0.0000 0.0664 0.2500 1
Cs2 Cs 0.0000 0.2057 0.7500 1
Cs3 Cs 0.0992 0.4103 0.5555 1
Mn1 Mn 0.1984 0.2260 0.2615 1
Mn2 Mn 0.2279 0.0759 0.8022 1
Se1 Se 0.1264 0.3628 0.0845 1
Se2 Se 0.1593 0.1994 0.5615 1
Se3 Se 0.1812 0.0720 0.0960 1
```

Top 6 peaks for 5 to 70 degrees two-theta, by angle:
2θ = 23.5°, rel. 29, hkl 1 3 1; 2θ = 23.9°, rel. 52, hkl 3 3 -1; 2θ = 25.2°, rel. 28, hkl 1 1 -2; 2θ = 26.7°, rel. 59, hkl 4 0 -2; 2θ = 28.0°, rel. 72, hkl 5 1 0; 2θ = 30.7°, rel. 100, hkl 2 4 1



No. 6
This entry pairs a crystal structure of Cs2SmMn2Se4 with its calculated XRD peak list. Radiation: Cu Kα X-rays. Structure: the GGA-PBE geometry in Alexandria.
Intensities are scaled so that the largest is 100.

```
data_Cs2SmMn2Se4
_chemical_formula_sum 'Cs4 Sm2 Mn4 Se8'
_cell_length_a 15.8270
_cell_length_b 4.2998
_cell_length_c 8.5196
_cell_angle_alpha 90.00
_cell_angle_beta 108.40
_cell_angle_gamma 90.00
_symmetry_space_group_name_H-M 'C 1 2/m 1'
_symmetry_Int_Tables_number 12
_symmetry_space_group_name_Hall '-C 2y'
loop_
_atom_site_label
_atom_site_type_symbol
_atom_site_fract_x
_atom_site_fract_y
_atom_site_fract_z
_atom_site_occupancy
Cs1 Cs 0.1335 0.0000 0.0527 1
Sm1 Sm 0.0000 0.0000 0.5000 1
Mn1 Mn 0.1781 0.5000 0.4825 1
Se1 Se 0.0231 0.5000 0.2771 1
Se2 Se 0.1977 0.0000 0.6582 1
```

Top 6 peaks for 5 to 70 degrees two-theta, by angle:
2θ = 27.3°, rel. 41, hkl 3 1 -1; 2θ = 29.2°, rel. 42, hkl 4 0 1; 2θ = 29.5°, rel. 100, hkl 1 1 -2; 2θ = 31.6°, rel. 35, hkl 3 1 1; 2θ = 42.0°, rel. 31, hkl 0 2 0; 2θ = 48.0°, rel. 41, hkl 3 1 3



No. 7
This entry pairs a crystal structure of Cs2U2MnSe6 with its calculated XRD peak list. Radiation: Cu Kα X-rays. Structure: the GGA-PBE geometry in Alexandria.
Intensities are scaled so that the largest is 100.

```
data_Cs2U2MnSe6
_chemical_formula_sum 'Cs4 U4 Mn2 Se12'
_cell_length_a 7.1264
_cell_length_b 12.3134
_cell_length_c 8.9063
_cell_angle_alpha 90.00
_cell_angle_beta 105.41
_cell_angle_gamma 90.00
_symmetry_space_group_name_H-M 'C 1 2/m 1'
_symmetry_Int_Tables_number 12
_symmetry_space_group_name_Hall '-C 2y'
loop_
_atom_site_label
_atom_site_type_symbol
_atom_site_fract_x
_atom_site_fract_y
_atom_site_fract_z
_atom_site_occupancy
Cs1 Cs 0.0000 0.1661 0.0000 1
U1 U 0.0000 0.3333 0.5000 1
Mn1 Mn 0.0000 0.0000 0.5000 1
Se1 Se 0.2234 0.1632 0.6788 1
Se2 Se 0.2347 0.5000 0.6769 1
```

Top 6 peaks for 5 to 70 degrees two-theta, by angle:
2θ = 10.3°, rel. 53, hkl 0 0 1; 2θ = 15.9°, rel. 16, hkl 1 1 -1; 2θ = 28.7°, rel. 100, hkl 1 3 1; 2θ = 35.1°, rel. 19, hkl 2 0 -3; 2θ = 37.7°, rel. 32, hkl 2 0 2; 2θ = 44.1°, rel. 35, hkl 0 6 0



No. 8
This entry pairs a crystal structure of Cs2Mn3Te4 with its calculated XRD peak list. Radiation: Cu Kα X-rays. Structure: the GGA-PBE geometry in Alexandria.
Intensities are scaled so that the largest is 100.

```
data_Cs2Mn3Te4
_chemical_formula_sum 'Cs8 Mn12 Te16'
_cell_length_a 6.6512
_cell_length_b 13.1037
_cell_length_c 15.5789
_cell_angle_alpha 90.00
_cell_angle_beta 90.00
_cell_angle_gamma 90.00
_symmetry_space_group_name_H-M 'I b a m'
_symmetry_Int_Tables_number 72
_symmetry_space_group_name_Hall '-I 2 2c'
loop_
_atom_site_label
_atom_site_type_symbol
_atom_site_fract_x
_atom_site_fract_y
_atom_site_fract_z
_atom_site_occupancy
Cs1 Cs 0.2355 0.1231 0.0000 1
Mn1 Mn 0.0000 0.2365 0.2500 1
Mn2 Mn 0.0000 0.5000 0.2500 1
Te1 Te 0.2282 0.3694 0.1494 1
```

Top 6 peaks for 5 to 70 degrees two-theta, by angle:
2θ = 25.7°, rel. 100, hkl 1 2 3; 2θ = 27.2°, rel. 14, hkl 0 4 0; 2θ = 38.6°, rel. 25, hkl 2 4 0; 2θ = 44.5°, rel. 14, hkl 0 4 6; 2θ = 46.7°, rel. 20, hkl 3 2 3; 2θ = 47.2°, rel. 18, hkl 1 6 3